# Ta11Al4
Calculated X-ray powder pattern, Cu Kα (weighted mean of Kα1 and Kα2). Input: a cell relaxed with GGA-PBE.
Intensities are scaled so that the largest is 100.

Most intense lines, 10° ≤ 2θ ≤ 80°, low angle first:
19.20 deg, rel. 49, hkl 1 1 0; 36.70 deg, rel. 74, hkl 1 0 -4; 36.83 deg, rel. 60, hkl 1 0 4; 37.09 deg, rel. 50, hkl 4 0 1; 37.85 deg, rel. 57, hkl 3 0 -3; 38.94 deg, rel. 95, hkl 0 2 2; 39.98 deg, rel. 96, hkl 2 2 -1; 40.04 deg, rel. 70, hkl 1 2 2; 40.89 deg, rel. 100, hkl 1 1 4; 41.07 deg, rel. 51, hkl 4 1 1

Atomic structure:
Lattice parameters (Å, degrees): 10.009 5.210 10.083 90.00 90.45 90.00
Atoms (fractional coordinates):
Ta 0.036 0.000 0.370
Ta 0.104 0.000 0.103
Ta 0.128 0.500 0.538
Ta 0.182 0.247 0.820
Ta 0.182 0.753 0.820
Ta 0.242 0.000 0.565
Ta 0.319 0.250 0.316
Ta 0.319 0.750 0.316
Ta 0.372 0.000 0.036
Ta 0.397 0.500 0.603
Ta 0.463 0.500 0.873
Ta 0.537 0.500 0.127
Ta 0.603 0.500 0.397
Ta 0.628 0.000 0.964
Ta 0.681 0.250 0.684
Ta 0.681 0.750 0.684
Ta 0.758 0.000 0.435
Ta 0.818 0.247 0.180
Ta 0.818 0.753 0.180
Ta 0.872 0.500 0.462
Ta 0.896 0.000 0.897
Ta 0.964 0.000 0.630
Al 0.000 0.500 0.000
Al 0.068 0.500 0.261
Al 0.263 0.500 0.065
Al 0.434 0.000 0.764
Al 0.500 0.000 0.500
Al 0.566 0.000 0.236
Al 0.737 0.500 0.935
Al 0.932 0.500 0.739